For CaP4W3O14, a cell relaxed with GGA+U gives the theoretical powder diffractogram in this record (Cu Kα (λ = 1.5418 Å)).

Cell and atoms:
Cell: 8.0655 7.3687 10.1202 Å, 90.00 101.13 90.00°
Space group P2_1/c (No. 14)
Unique sites:
Ca 0.0000 0.0000 0.0000 (multiplicity 2)
P 0.0715 0.0950 0.6833 (multiplicity 4)
P 0.3423 0.6824 0.1775 (multiplicity 4)
W 0.3118 0.1509 0.4512 (multiplicity 4)
W 0.5000 0.0000 0.0000 (multiplicity 2)
O 0.1163 0.5645 0.8422 (multiplicity 4)
O 0.1314 0.2300 0.5847 (multiplicity 4)
O 0.1402 0.1469 0.8320 (multiplicity 4)
O 0.1538 0.5982 0.1552 (multiplicity 4)
O 0.3112 0.6322 0.6069 (multiplicity 4)
O 0.4171 0.6786 0.3261 (multiplicity 4)
O 0.4446 0.5518 0.1006 (multiplicity 4)

Principal peaks in the range 10 to 80 degrees two-theta, by angle:
d [Å]	two_theta	I/Imax
7.914	11.18	90
5.393	16.44	67
4.965	17.87	100
4.627	19.18	72
3.434	25.94	74
3.127	28.54	62
3.113	28.68	64
3.091	28.89	78
2.695	33.24	65
2.384	37.73	54